For PaBr4Cl4, a DFT-relaxed cell (PBE, Alexandria) gives the simulated XRD peak list in this record (Cu Ka).

Principal peaks in the range 10° ≤ 2θ ≤ 80°, sorted by position:
d (Å), Rel. int., h k l
7.447, 100, 1 1 0
3.743, 19, 2 1 1
3.084, 22, 0 0 2
3.051, 52, 3 0 1
2.849, 20, 1 1 2
2.359, 49, 4 1 1

Atomic structure:
Unit cell a=10.532 b=10.532 c=6.167 alpha=90.00 beta=90.00 gamma=90.00
Space group I4/mmm (No. 139)
One atom of each set of equivalent atoms:
Pa: 0.000 0.000 0.000 x2
Br: 0.135 0.135 0.500 x8
Cl: 0.000 0.238 0.000 x8

For PaBrCl2, a DFT-relaxed cell (PBE, Alexandria) gives the simulated XRD peak list in this record (Cu Ka).

Principal peaks in the range 10° ≤ 2θ ≤ 80°, sorted by position:
d (Å), Rel. int., h k l
6.008, 100, 0 1 1
5.612, 67, 0 2 0
3.253, 22, 1 0 1
2.813, 70, 1 2 1
2.486, 44, 1 1 2
2.125, 28, 1 4 1

Atomic structure:
Unit cell a=3.657 b=11.223 c=7.113 alpha=90.00 beta=90.00 gamma=90.00
Space group Imm2 (No. 44)
One atom of each set of equivalent atoms:
Pa: 0.000 0.000 0.000 x2
Br: 0.000 0.500 0.817 x2
Cl: 0.000 0.339 0.356 x4

For PaBrCl3, a DFT-relaxed cell (PBE, Alexandria) gives the simulated XRD peak list in this record (Cu Ka).

Principal peaks in the range 10° ≤ 2θ ≤ 80°, sorted by position:
d (Å), Rel. int., h k l
7.354, 46, 1 1 0
5.770, 100, 1 1 1
5.160, 44, 0 2 1
4.653, 41, 0 0 2
4.567, 24, 2 0 0
2.818, 23, 3 1 1

Atomic structure:
Unit cell a=9.133 b=12.403 c=9.305 alpha=90.00 beta=90.00 gamma=90.00
Space group Cmcm (No. 63)
One atom of each set of equivalent atoms:
Pa: 0.000 0.114 0.250 x4
Br: 0.000 0.330 0.250 x4
Cl: 0.000 0.000 0.000 x4
Cl: 0.223 0.396 0.750 x8

For PaTl2Br4Cl2, a DFT-relaxed cell (PBE, Alexandria) gives the simulated XRD peak list in this record (Cu Ka).

Principal peaks in the range 10° ≤ 2θ ≤ 80°, sorted by position:
d (Å), Rel. int., h k l
6.740, 92, 0 0 1
6.637, 41, 1 1 0
4.248, 92, 1 1 1
3.861, 100, 3 1 -1
3.313, 68, 2 2 -1
2.711, 98, 2 2 -2

Atomic structure:
Unit cell a=13.472 b=7.933 c=7.494 alpha=90.00 beta=115.91 gamma=90.00
Space group C2/m (No. 12)
One atom of each set of equivalent atoms:
Pa: 0.000 0.000 0.000 x2
Tl: 0.233 0.500 0.210 x4
Br: 0.075 0.250 0.819 x8
Cl: 0.195 0.000 0.308 x4

For PaTl2Br2Cl4, a DFT-relaxed cell (PBE, Alexandria) gives the simulated XRD peak list in this record (Cu Ka).

Principal peaks in the range 10° ≤ 2θ ≤ 80°, sorted by position:
d (Å), Rel. int., h k l
6.856, 67, 0 0 1
4.163, 83, 1 1 1
3.824, 100, 3 1 -1
3.725, 75, 0 2 0
3.190, 85, 3 1 -2
2.675, 80, 2 2 -2

Atomic structure:
Unit cell a=13.480 b=7.450 c=7.745 alpha=90.00 beta=117.73 gamma=90.00
Space group C2/m (No. 12)
One atom of each set of equivalent atoms:
Pa: 0.000 0.000 0.000 x2
Tl: 0.244 0.500 0.213 x4
Br: 0.216 0.000 0.325 x4
Cl: 0.070 0.248 0.837 x8

For Pb6Br7Cl5, a DFT-relaxed cell (PBE, Alexandria) gives the simulated XRD peak list in this record (Cu Ka).

Principal peaks in the range 10° ≤ 2θ ≤ 80°, sorted by position:
d (Å), Rel. int., h k l
5.100, 59, 0 2 0
4.834, 100, 0 0 2
3.810, 96, 3 1 1
2.619, 91, 3 3 1
2.546, 84, 0 4 0
2.079, 67, 3 3 3

Atomic structure:
Unit cell a=13.612 b=10.199 c=9.668 alpha=90.00 beta=90.00 gamma=90.00
Space group Amm2 (No. 38)
One atom of each set of equivalent atoms:
Pb: 0.000 0.000 0.000 x2
Pb: 0.166 0.000 0.500 x4
Pb: 0.329 0.000 0.998 x4
Pb: 0.500 0.000 0.515 x2
Br: 0.000 0.201 0.499 x4
Br: 0.332 0.200 0.507 x8
Br: 0.500 0.000 0.201 x2
Cl: 0.163 0.000 0.803 x4
Cl: 0.166 0.000 0.195 x4
Cl: 0.500 0.000 0.812 x2

For PbBr2Cl, a DFT-relaxed cell (PBE, Alexandria) gives the simulated XRD peak list in this record (Cu Ka).

Principal peaks in the range 10° ≤ 2θ ≤ 80°, sorted by position:
d (Å), Rel. int., h k l
6.654, 80, 0 0 2
5.000, 61, 0 1 1
3.020, 43, 1 0 3
2.939, 100, 1 1 2
2.697, 31, 0 2 0
2.334, 44, 1 1 4

Atomic structure:
Unit cell a=4.123 b=5.395 c=13.308 alpha=90.00 beta=90.00 gamma=90.00
Space group Imm2 (No. 44)
One atom of each set of equivalent atoms:
Pb: 0.000 0.000 0.000 x2
Br: 0.000 0.000 0.437 x2
Br: 0.000 0.500 0.322 x2
Cl: 0.000 0.500 0.641 x2

For Pb2BrCl, a DFT-relaxed cell (PBE, Alexandria) gives the simulated XRD peak list in this record (Cu Ka).

Principal peaks in the range 10° ≤ 2θ ≤ 80°, sorted by position:
d (Å), Rel. int., h k l
4.322, 60, 0 1 1
3.525, 56, 1 0 0
3.056, 100, 0 2 0
2.308, 36, 1 2 0
2.161, 34, 0 2 2
1.856, 19, 1 2 -2

Atomic structure:
Unit cell a=3.526 b=6.108 c=6.119 alpha=90.00 beta=91.30 gamma=90.00
Space group Pm (No. 6)
One atom of each set of equivalent atoms:
Pb: 0.000 0.000 0.000 x1
Pb: 0.139 0.500 0.504 x1
Br: 0.075 0.500 0.005 x1
Cl: 0.070 0.000 0.493 x1

For Rb3Pb2Br2Cl5, a DFT-relaxed cell (PBE, Alexandria) gives the simulated XRD peak list in this record (Cu Ka).

Principal peaks in the range 10° ≤ 2θ ≤ 80°, sorted by position:
d (Å), Rel. int., h k l
5.589, 51, 1 0 1
4.049, 70, 1 0 5
4.028, 100, 1 1 0
2.849, 83, 2 0 0
2.789, 39, 1 0 9
2.025, 44, 2 0 10

Atomic structure:
Unit cell a=5.697 b=5.697 c=28.783 alpha=90.00 beta=90.00 gamma=90.00
Space group I4/mmm (No. 139)
One atom of each set of equivalent atoms:
Rb: 0.000 0.000 0.000 x2
Rb: 0.000 0.000 0.178 x4
Pb: 0.000 0.000 0.399 x4
Br: 0.000 0.000 0.296 x4
Cl: 0.000 0.000 0.500 x2
Cl: 0.000 0.500 0.097 x8

For Rb3Pb2Br4Cl3, a DFT-relaxed cell (PBE, Alexandria) gives the simulated XRD peak list in this record (Cu Ka).

Principal peaks in the range 10° ≤ 2θ ≤ 80°, sorted by position:
d (Å), Rel. int., h k l
7.071, 70, 0 4 0
5.599, 64, 1 1 0
4.159, 100, 1 0 1
4.019, 76, 1 5 0
2.856, 75, 2 0 0
2.789, 72, 0 9 1

Atomic structure:
Unit cell a=5.712 b=28.282 c=6.067 alpha=90.00 beta=90.00 gamma=90.00
Space group Imm2 (No. 44)
One atom of each set of equivalent atoms:
Rb: 0.000 0.000 0.000 x2
Rb: 0.000 0.179 0.779 x4
Pb: 0.000 0.397 0.842 x4
Br: 0.000 0.294 0.942 x4
Br: 0.000 0.408 0.332 x4
Cl: 0.000 0.107 0.289 x4
Cl: 0.000 0.500 0.814 x2

For RbPbBr2Cl, a DFT-relaxed cell (PBE, Alexandria) gives the simulated XRD peak list in this record (Cu Ka).

Principal peaks in the range 10° ≤ 2θ ≤ 80°, sorted by position:
d (Å), Rel. int., h k l
5.746, 63, 0 0 2
4.130, 50, 2 0 0
4.096, 95, 1 1 2
2.920, 65, 2 2 0
2.873, 49, 0 0 4
2.378, 100, 3 1 2

Atomic structure:
Unit cell a=8.260 b=8.260 c=11.492 alpha=90.00 beta=90.00 gamma=90.00
Space group I4/mcm (No. 140)
One atom of each set of equivalent atoms:
Rb: 0.000 0.500 0.250 x4
Pb: 0.000 0.000 0.000 x4
Br: 0.180 0.320 0.000 x8
Cl: 0.000 0.000 0.250 x4

For PbSBrCl2, a DFT-relaxed cell (PBE, Alexandria) gives the simulated XRD peak list in this record (Cu Ka).

Principal peaks in the range 10° ≤ 2θ ≤ 80°, sorted by position:
d (Å), Rel. int., h k l
5.382, 40, 1 0 0
3.927, 100, 1 0 1
3.805, 44, 1 1 0
2.691, 46, 2 0 0
2.220, 46, 2 1 1
1.963, 36, 2 0 2

Atomic structure:
Unit cell a=5.382 b=5.382 c=5.743 alpha=90.00 beta=90.00 gamma=90.00
Space group P4/mmm (No. 123)
One atom of each set of equivalent atoms:
Pb: 0.000 0.000 0.000 x1
S: 0.000 0.000 0.500 x1
Br: 0.500 0.500 0.500 x1
Cl: 0.000 0.500 0.000 x2

For PdBr2Cl5, a DFT-relaxed cell (PBE, Alexandria) gives the simulated XRD peak list in this record (Cu Ka).

Principal peaks in the range 10° ≤ 2θ ≤ 80°, sorted by position:
d (Å), Rel. int., h k l
7.206, 98, 0 1 0
6.951, 71, 0 0 1
4.585, 55, 1 0 1
4.523, 100, 0 1 -1
4.031, 95, 1 1 1
3.538, 51, 0 2 1

Atomic structure:
Unit cell a=4.901 b=7.393 c=7.491 alpha=77.52 beta=72.15 gamma=89.33
Space group P1 (No. 1)
One atom of each set of equivalent atoms:
Pd: 0.000 0.000 0.000 x1
Br: 0.406 0.324 0.187 x1
Br: 0.488 0.788 0.552 x1
Cl: 0.066 0.761 0.828 x1
Cl: 0.127 0.221 0.719 x1
Cl: 0.504 0.953 0.994 x1
Cl: 0.899 0.761 0.293 x1
Cl: 0.909 0.247 0.185 x1

For Rb2PdBrCl6, a DFT-relaxed cell (PBE, Alexandria) gives the simulated XRD peak list in this record (Cu Ka).

Principal peaks in the range 10° ≤ 2θ ≤ 80°, sorted by position:
d (Å), Rel. int., h k l
3.804, 100, 1 1 2
3.645, 42, 2 0 0
2.818, 38, 0 0 4
2.577, 64, 2 2 0
2.134, 40, 3 1 2
1.902, 44, 2 2 4

Atomic structure:
Unit cell a=7.289 b=7.289 c=11.272 alpha=90.00 beta=90.00 gamma=90.00
Space group I4/mmm (No. 139)
One atom of each set of equivalent atoms:
Rb: 0.000 0.500 0.250 x4
Pd: 0.000 0.000 0.000 x2
Br: 0.000 0.000 0.500 x2
Cl: 0.000 0.000 0.209 x4
Cl: 0.234 0.234 0.000 x8